1.
This entry pairs a crystal structure of Ta2C with its computed XRD peak list. Radiation: Cu Kα (weighted mean of Kα1 and Kα2). Structure: a structure optimized by DFT (PBE).
Neutral-atom scattering factors, no anomalous dispersion.

Principal peaks in the range 10° ≤ 2θ ≤ 90°, by intensity:
2θ 37.83, I = 100
2θ 36.46, I = 23
2θ 32.99, I = 21
2θ 71.30, I = 20
2θ 58.91, I = 19
2θ 66.52, I = 19

Cell lengths 5.4310, 5.4310, 4.9285 Å; angles 90.00, 90.00, 120.00 degrees
Space group P-31m (No. 162)
Asymmetric unit:
Ta 0.0000 0.3374 0.2478 x6
C 0.0000 0.0000 0.0000 x1
C 0.3333 0.6667 0.5000 x2


2.
This entry pairs a crystal structure of HoErInOs with its computed XRD peak list. Radiation: Cu Kα (weighted mean of Kα1 and Kα2). Structure: a structure optimized by DFT (PBE).
Neutral-atom scattering factors, no anomalous dispersion.

Principal peaks in the range 10° ≤ 2θ ≤ 90°, by intensity:
2θ 34.40, I = 100
2θ 37.84, I = 47
2θ 10.71, I = 32
2θ 66.13, I = 30
2θ 42.44, I = 19
2θ 54.58, I = 16

Cell lengths 3.363, 3.363, 8.257 Å; angles 90.00, 90.00, 90.00 degrees
Space group P4mm (No. 99)
Asymmetric unit:
Ho 0.000 0.000 0.000 x1
Er 0.000 0.000 0.597 x1
In 0.500 0.500 0.300 x1
Os 0.500 0.500 0.797 x1